No. 1
Starting from a crystal structure in Alexandria, relaxed with GGA+U, the powder diffraction line list of Li5Ni6O12 was simulated for Cu Kα (weighted mean of Kα1 and Kα2).
No peak broadening, texture or thermal motion is included.

Crystal structure
Cell lengths 5.833, 6.412, 6.433 Å; angles 70.90, 76.53, 65.94 degrees
Positions (direct):
Li 0.000 0.000 0.000
Li 0.156 0.334 0.673
Li 0.320 0.690 0.318
Li 0.640 0.326 0.677
Li 0.808 0.681 0.329
Ni 0.063 0.175 0.329
Ni 0.231 0.505 0.997
Ni 0.398 0.841 0.668
Ni 0.560 0.176 0.328
Ni 0.728 0.514 0.000
Ni 0.899 0.843 0.665
O 0.016 0.084 0.649
O 0.094 0.276 0.015
O 0.179 0.418 0.310
O 0.280 0.595 0.685
O 0.349 0.741 0.982
O 0.441 0.931 0.358
O 0.523 0.083 0.639
O 0.574 0.291 0.012
O 0.679 0.421 0.312
O 0.780 0.602 0.687
O 0.897 0.728 0.985
O 0.943 0.937 0.343

Most intense lines, 10° ≤ 2θ ≤ 90°, by angle:
two_theta, Rel. int.
18.49, 100
35.44, 17
37.25, 23
42.65, 24
45.04, 20
45.05, 20
63.57, 12
63.95, 12

***

No. 2
Starting from a crystal structure in Alexandria, relaxed with GGA+U, the powder diffraction line list of Li17Ni11O28 was simulated for Cu Kα (weighted mean of Kα1 and Kα2).
No peak broadening, texture or thermal motion is included.

Crystal structure
Cell lengths 5.786, 6.392, 13.159 Å; angles 84.35, 82.85, 75.89 degrees
Positions (direct):
Li 0.000 0.000 0.000
Li 0.000 0.500 0.500
Li 0.087 0.428 0.289
Li 0.145 0.357 0.073
Li 0.207 0.275 0.860
Li 0.222 0.782 0.357
Li 0.280 0.222 0.643
Li 0.364 0.138 0.430
Li 0.433 0.060 0.217
Li 0.500 0.000 0.000
Li 0.567 0.940 0.783
Li 0.636 0.862 0.570
Li 0.720 0.778 0.357
Li 0.778 0.218 0.643
Li 0.793 0.725 0.140
Li 0.855 0.643 0.927
Li 0.913 0.572 0.711
Ni 0.060 0.930 0.784
Ni 0.133 0.858 0.571
Ni 0.293 0.715 0.143
Ni 0.353 0.642 0.928
Ni 0.415 0.570 0.713
Ni 0.500 0.500 0.500
Ni 0.585 0.430 0.287
Ni 0.647 0.358 0.072
Ni 0.707 0.285 0.857
Ni 0.867 0.142 0.429
Ni 0.940 0.070 0.216
O 0.018 0.766 0.239
O 0.067 0.156 0.529
O 0.106 0.678 0.038
O 0.123 0.102 0.321
O 0.141 0.626 0.813
O 0.197 0.555 0.603
O 0.210 0.021 0.117
O 0.271 0.941 0.883
O 0.317 0.889 0.677
O 0.329 0.460 0.389
O 0.375 0.412 0.173
O 0.409 0.808 0.474
O 0.439 0.329 0.958
O 0.498 0.734 0.243
O 0.502 0.266 0.757
O 0.561 0.671 0.042
O 0.591 0.192 0.526
O 0.625 0.588 0.827
O 0.671 0.540 0.611
O 0.683 0.111 0.323
O 0.729 0.059 0.117
O 0.790 0.979 0.883
O 0.803 0.445 0.397
O 0.859 0.374 0.187
O 0.877 0.898 0.679
O 0.894 0.322 0.962
O 0.933 0.844 0.471
O 0.982 0.234 0.761

Most intense lines, 10° ≤ 2θ ≤ 90°, by angle:
two_theta, Rel. int.
18.75, 100
20.48, 12
36.52, 14
37.12, 25
44.12, 27
44.97, 52
65.04, 7
65.16, 7

***

No. 3
Starting from a crystal structure in Alexandria, relaxed with GGA+U, the powder diffraction line list of LiNiO2 was simulated for Cu Kα (weighted mean of Kα1 and Kα2).
No peak broadening, texture or thermal motion is included.

Crystal structure
Cell lengths 2.928, 2.928, 9.704 Å; angles 90.00, 90.00, 123.24 degrees
Positions (direct):
Li 0.141 0.859 0.500
Li 0.859 0.141 0.000
Ni 0.173 0.827 0.243
Ni 0.827 0.173 0.743
O 0.187 0.813 0.855
O 0.467 0.533 0.630
O 0.533 0.467 0.130
O 0.813 0.187 0.355

Most intense lines, 10° ≤ 2θ ≤ 90°, by angle:
two_theta, Rel. int.
18.28, 100
36.07, 21
37.89, 27
39.61, 12
41.29, 12
44.98, 15
46.51, 36
60.90, 17